# RbTlCrF6
Theoretical powder diffractogram, Cu Kα (weighted mean of Kα1 and Kα2). Input: DFT lattice parameters and positions (PBE+U).
No peak broadening, texture or thermal motion is included.

Main lines, most intense first (10° ≤ 2θ ≤ 80°):
- 2θ 24.9, 3.573 Å, I 100
- 2θ 39.3, 2.292 Å, I 63
- 2θ 29.9, 2.988 Å, I 50
- 2θ 50.2, 1.819 Å, I 26
- 2θ 17.1, 5.175 Å, I 24
- 2θ 40.5, 2.229 Å, I 23

Atomic structure:
```
data_RbTlCrF6
_chemical_formula_sum 'Rb1 Tl1 Cr1 F6'
_cell_length_a 5.9757
_cell_length_b 5.9757
_cell_length_c 4.9387
_cell_angle_alpha 90.00
_cell_angle_beta 90.00
_cell_angle_gamma 120.00
_space_group_name_H-M_alt 'P 3 m 1'
_space_group_IT_number 156
loop_
_space_group_symop_operation_xyz
'x,y,z'
'-y,x-y,z'
'-x+y,-x,z'
'-y,-x,z'
'-x+y,y,z'
'x,x-y,z'
loop_
_atom_site_label
_atom_site_type_symbol
_atom_site_fract_x
_atom_site_fract_y
_atom_site_fract_z
Rb1 Rb 0.0000 0.0000 0.0000
Tl1 Tl 0.6667 0.3333 0.5820
Cr1 Cr 0.3333 0.6667 0.3059
F1 F 0.0352 0.5176 0.0934
F2 F 0.1842 0.3684 0.5196
```